For La3FeI3, a cell relaxed with PBE gives the theoretical X-ray diffraction stick pattern in this record (Cu Ka).

Largest 10 diffraction maxima, low angle first, 15° ≤ 2θ ≤ 90°:
- 26.69 deg, intensity 36.6
- 28.57 deg, intensity 100.0
- 33.64 deg, intensity 23.2
- 40.85 deg, intensity 65.7
- 50.61 deg, intensity 20.4
- 53.92 deg, intensity 20.4
- 58.13 deg, intensity 16.0
- 59.15 deg, intensity 8.1
- 66.98 deg, intensity 19.4
- 74.38 deg, intensity 12.7

```
data_La3FeI3
_cell_length_a 10.822
_cell_length_b 10.822
_cell_length_c 10.822
_cell_angle_alpha 109.47
_cell_angle_beta 109.47
_cell_angle_gamma 109.47
_symmetry_space_group_name_H-M 'P 1'
_symmetry_Int_Tables_number 1
loop_
_symmetry_equiv_pos_as_xyz
'x,y,z'
loop_
_atom_site_label
_atom_site_fract_x
_atom_site_fract_y
_atom_site_fract_z
La1 0.024 0.048 0.274
La2 0.024 0.476 0.750
La3 0.048 0.274 0.024
La4 0.226 0.274 0.750
La5 0.226 0.452 0.476
La6 0.274 0.024 0.048
La7 0.274 0.750 0.226
La8 0.452 0.476 0.226
La9 0.476 0.226 0.452
La10 0.476 0.750 0.024
La11 0.750 0.024 0.476
La12 0.750 0.226 0.274
Fe1 0.000 0.250 0.500
Fe2 0.250 0.250 0.250
Fe3 0.250 0.500 0.000
Fe4 0.500 0.000 0.250
I1 0.250 0.760 0.740
I2 0.250 0.990 0.510
I3 0.510 0.250 0.990
I4 0.510 0.760 0.520
I5 0.520 0.510 0.760
I6 0.740 0.250 0.760
I7 0.740 0.990 0.980
I8 0.760 0.520 0.510
I9 0.760 0.740 0.250
I10 0.980 0.740 0.990
I11 0.990 0.510 0.250
I12 0.990 0.980 0.740
```